For Li8Fe7O15, a cell relaxed with GGA+U gives the computed XRD peak list in this record (Cu Kα X-rays).
Peak positions follow from Bragg's law for the DFT cell and can differ from measured ones.

Largest 12 diffraction maxima, by angle, 2θ from 10° to 90°:
d [Å]	2θ (°)	intensity
4.200	21.15	40
3.685	24.15	39
3.472	25.66	39
2.976	30.03	38
2.400	37.48	20
2.128	42.48	100
1.993	45.51	39
1.507	61.55	15
1.503	61.73	14
1.457	63.91	23
1.453	64.10	24
1.200	79.96	17

Cell and atoms:
Unit cell a=10.8303 b=10.8303 c=8.5338 alpha=100.08 beta=100.08 gamma=15.95
Fractional coordinates of all 30 atoms:
Li: 0.0332 0.0332 0.2331
Li: 0.0989 0.0989 0.6973
Li: 0.1650 0.1650 0.1712
Li: 0.2351 0.2351 0.6290
Li: 0.7649 0.7649 0.3710
Li: 0.8350 0.8350 0.8288
Li: 0.9011 0.9011 0.3027
Li: 0.9668 0.9668 0.7669
Fe: 0.3003 0.3003 0.1143
Fe: 0.3640 0.3640 0.5714
Fe: 0.4330 0.4330 0.0348
Fe: 0.5000 0.5000 0.5000
Fe: 0.5670 0.5670 0.9652
Fe: 0.6360 0.6360 0.4286
Fe: 0.6997 0.6997 0.8857
O: 0.0000 0.0000 0.0000
O: 0.0643 0.0643 0.4662
O: 0.1326 0.1326 0.9340
O: 0.1926 0.1926 0.4018
O: 0.2617 0.2617 0.8758
O: 0.3336 0.3336 0.3365
O: 0.4006 0.4006 0.8052
O: 0.4661 0.4661 0.2647
O: 0.5339 0.5339 0.7353
O: 0.5994 0.5994 0.1948
O: 0.6664 0.6664 0.6635
O: 0.7383 0.7383 0.1242
O: 0.8074 0.8074 0.5982
O: 0.8674 0.8674 0.0660
O: 0.9357 0.9357 0.5338